No. 1
Structure and simulated powder diffraction line list of Mg3Pd5 (DFT lattice parameters and positions (PBE); Cu Kα, 1.54184 Å).
Lines closer than 0.1° are merged.

Structural model:
```
data_Mg3Pd5
_chemical_formula_sum 'Mg6 Pd10'
_cell_length_a 5.5164
_cell_length_b 10.5941
_cell_length_c 4.3469
_cell_angle_alpha 90.00
_cell_angle_beta 90.00
_cell_angle_gamma 90.00
_symmetry_space_group_name_H-M 'P b a m'
_symmetry_Int_Tables_number 55
_symmetry_space_group_name_Hall '-P 2 2ab'
loop_
_atom_site_label
_atom_site_type_symbol
_atom_site_fract_x
_atom_site_fract_y
_atom_site_fract_z
_atom_site_occupancy
Mg1 Mg 0.0000 0.0000 0.0000 1
Mg2 Mg 0.1506 0.3643 0.5000 1
Pd1 Pd 0.0000 0.5000 0.0000 1
Pd2 Pd 0.1309 0.7567 0.0000 1
Pd3 Pd 0.1641 0.1128 0.5000 1
```

Largest 8 diffraction maxima, by intensity, 2θ = 10–90°:
(0 4 1), 2θ = 39.86°, intensity 100; (0 0 2), 2θ = 41.55°, intensity 86; (2 1 1), 2θ = 39.62°, intensity 79; (1 1 1), 2θ = 27.45°, intensity 30; (1 2 1), 2θ = 31.17°, intensity 26; (2 3 2), 2θ = 60.21°, intensity 26; (1 2 0), 2θ = 23.28°, intensity 19; (2 0 1), 2θ = 38.66°, intensity 17



No. 2
Structure and simulated powder diffraction line list of PrMgPd (DFT lattice parameters and positions (PBE); Cu Kα, 1.54184 Å).
Lines closer than 0.1° are merged.

Structural model:
```
data_PrMgPd
_chemical_formula_sum 'Pr3 Mg3 Pd3'
_cell_length_a 7.7175
_cell_length_b 7.7175
_cell_length_c 4.1217
_cell_angle_alpha 90.00
_cell_angle_beta 90.00
_cell_angle_gamma 120.00
_symmetry_space_group_name_H-M 'P -6 2 m'
_symmetry_Int_Tables_number 189
_symmetry_space_group_name_Hall 'P -6 -2'
loop_
_atom_site_label
_atom_site_type_symbol
_atom_site_fract_x
_atom_site_fract_y
_atom_site_fract_z
_atom_site_occupancy
Pr1 Pr 0.0000 0.4147 0.0000 1
Mg1 Mg 0.0000 0.7602 0.5000 1
Pd1 Pd 0.0000 0.0000 0.0000 1
Pd2 Pd 0.3333 0.6667 0.5000 1
```

Largest 8 diffraction maxima, by intensity, 2θ = 10–90°:
(2 0 1), 2θ = 34.55°, intensity 100; (1 1 1), 2θ = 31.77°, intensity 79; (1 1 0), 2θ = 23.05°, intensity 34; (3 0 0), 2θ = 40.49°, intensity 29; (2 1 1), 2θ = 41.95°, intensity 25; (3 1 1), 2θ = 54.26°, intensity 24; (3 2 1), 2θ = 64.88°, intensity 23; (2 1 0), 2θ = 35.54°, intensity 23



No. 3
Structure and simulated powder diffraction line list of Mg2PdPt (DFT lattice parameters and positions (PBE); Cu Kα, 1.54184 Å).
Lines closer than 0.1° are merged.

Structural model:
```
data_Mg2PdPt
_chemical_formula_sum 'Mg8 Pd4 Pt4'
_cell_length_a 6.3544
_cell_length_b 6.3544
_cell_length_c 6.3544
_cell_angle_alpha 90.00
_cell_angle_beta 90.00
_cell_angle_gamma 90.00
_symmetry_space_group_name_H-M 'F m -3 m'
_symmetry_Int_Tables_number 225
_symmetry_space_group_name_Hall '-F 4 2 3'
loop_
_atom_site_label
_atom_site_type_symbol
_atom_site_fract_x
_atom_site_fract_y
_atom_site_fract_z
_atom_site_occupancy
Mg1 Mg 0.2500 0.2500 0.2500 1
Pd1 Pd 0.0000 0.0000 0.0000 1
Pt1 Pt 0.0000 0.0000 0.5000 1
```

Largest 8 diffraction maxima, by intensity, 2θ = 10–90°:
(2 2 0), 2θ = 40.14°, intensity 100; (2 0 0), 2θ = 28.08°, intensity 64; (4 2 2), 2θ = 72.93°, intensity 34; (4 2 0), 2θ = 65.72°, intensity 24; (2 2 2), 2θ = 49.70°, intensity 18; (4 0 0), 2θ = 58.06°, intensity 17; (1 1 1), 2θ = 24.26°, intensity 13; (4 4 0), 2θ = 86.67°, intensity 11



No. 4
Structure and simulated powder diffraction line list of MgSbPd (DFT lattice parameters and positions (PBE); Cu Kα, 1.54184 Å).
Lines closer than 0.1° are merged.

Structural model:
```
data_MgSbPd
_chemical_formula_sum 'Mg4 Sb4 Pd4'
_cell_length_a 6.3533
_cell_length_b 6.3533
_cell_length_c 6.3533
_cell_angle_alpha 90.00
_cell_angle_beta 90.00
_cell_angle_gamma 90.00
_symmetry_space_group_name_H-M 'F -4 3 m'
_symmetry_Int_Tables_number 216
_symmetry_space_group_name_Hall 'F -4 2 3'
loop_
_atom_site_label
_atom_site_type_symbol
_atom_site_fract_x
_atom_site_fract_y
_atom_site_fract_z
_atom_site_occupancy
Mg1 Mg 0.0000 0.0000 0.0000 1
Sb1 Sb 0.0000 0.0000 0.5000 1
Pd1 Pd 0.2500 0.2500 0.2500 1
```

Largest 8 diffraction maxima, by intensity, 2θ = 10–90°:
(2 2 0), 2θ = 40.14°, intensity 100; (1 1 1), 2θ = 24.26°, intensity 81; (3 1 1), 2θ = 47.46°, intensity 39; (4 2 2), 2θ = 72.95°, intensity 33; (4 0 0), 2θ = 58.07°, intensity 17; (3 3 1), 2θ = 63.86°, intensity 16; (5 1 1), 2θ = 78.18°, intensity 12; (4 4 0), 2θ = 86.69°, intensity 11



No. 5
Structure and simulated powder diffraction line list of Mg5Si16Pd10 (DFT lattice parameters and positions (PBE); Cu Kα, 1.54184 Å).
Lines closer than 0.1° are merged.

Structural model:
```
data_Mg5Si16Pd10
_chemical_formula_sum 'Mg20 Si64 Pd40'
_cell_length_a 12.6619
_cell_length_b 12.6619
_cell_length_c 12.6619
_cell_angle_alpha 90.00
_cell_angle_beta 90.00
_cell_angle_gamma 90.00
_symmetry_space_group_name_H-M 'F -4 3 m'
_symmetry_Int_Tables_number 216
_symmetry_space_group_name_Hall 'F -4 2 3'
loop_
_atom_site_label
_atom_site_type_symbol
_atom_site_fract_x
_atom_site_fract_y
_atom_site_fract_z
_atom_site_occupancy
Mg1 Mg 0.0000 0.0000 0.0000 1
Mg2 Mg 0.1509 0.1509 0.6509 1
Si1 Si 0.0453 0.1839 0.1839 1
Si2 Si 0.0725 0.0725 0.4275 1
Pd1 Pd 0.0000 0.0000 0.2630 1
Pd2 Pd 0.1286 0.1286 0.8714 1
```

Largest 8 diffraction maxima, by intensity, 2θ = 10–90°:
(4 4 0), 2θ = 40.29°, intensity 100; (6 2 2), 2θ = 47.64°, intensity 70; (2 2 2), 2θ = 24.35°, intensity 58; (3 3 1), 2θ = 30.78°, intensity 29; (8 4 4), 2θ = 73.25°, intensity 28; (5 1 1), 2θ = 36.89°, intensity 28; (3 1 1), 2θ = 23.30°, intensity 25; (2 0 0), 2θ = 13.99°, intensity 23



No. 6
Structure and simulated powder diffraction line list of Sm4MgPd (DFT lattice parameters and positions (PBE); Cu Kα, 1.54184 Å).
Lines closer than 0.1° are merged.

Structural model:
```
data_Sm4MgPd
_chemical_formula_sum 'Sm64 Mg16 Pd16'
_cell_length_a 14.1100
_cell_length_b 14.1100
_cell_length_c 14.1100
_cell_angle_alpha 90.00
_cell_angle_beta 90.00
_cell_angle_gamma 90.00
_symmetry_space_group_name_H-M 'F -4 3 m'
_symmetry_Int_Tables_number 216
_symmetry_space_group_name_Hall 'F -4 2 3'
loop_
_atom_site_label
_atom_site_type_symbol
_atom_site_fract_x
_atom_site_fract_y
_atom_site_fract_z
_atom_site_occupancy
Sm1 Sm 0.0000 0.0000 0.1836 1
Sm2 Sm 0.0602 0.2500 0.7500 1
Sm3 Sm 0.0990 0.0990 0.4010 1
Mg1 Mg 0.1705 0.1705 0.1705 1
Pd1 Pd 0.1073 0.1073 0.6073 1
```

Largest 8 diffraction maxima, by intensity, 2θ = 10–90°:
(5 1 1), 2θ = 32.99°, intensity 100; (4 2 2), 2θ = 31.05°, intensity 52; (6 6 0), 2θ = 55.24°, intensity 49; (3 3 1), 2θ = 27.56°, intensity 42; (4 4 0), 2θ = 36.01°, intensity 34; (1 1 1), 2θ = 10.86°, intensity 19; (10 6 4), 2θ = 84.69°, intensity 16; (11 5 1), 2θ = 82.97°, intensity 15



No. 7
Structure and simulated powder diffraction line list of TmMgPd2 (DFT lattice parameters and positions (PBE); Cu Kα, 1.54184 Å).
Lines closer than 0.1° are merged.

Structural model:
```
data_TmMgPd2
_chemical_formula_sum 'Tm4 Mg4 Pd8'
_cell_length_a 6.6960
_cell_length_b 6.6960
_cell_length_c 6.6960
_cell_angle_alpha 90.00
_cell_angle_beta 90.00
_cell_angle_gamma 90.00
_symmetry_space_group_name_H-M 'F m -3 m'
_symmetry_Int_Tables_number 225
_symmetry_space_group_name_Hall '-F 4 2 3'
loop_
_atom_site_label
_atom_site_type_symbol
_atom_site_fract_x
_atom_site_fract_y
_atom_site_fract_z
_atom_site_occupancy
Tm1 Tm 0.0000 0.0000 0.0000 1
Mg1 Mg 0.0000 0.0000 0.5000 1
Pd1 Pd 0.2500 0.2500 0.2500 1
```

Largest 8 diffraction maxima, by intensity, 2θ = 10–90°:
(2 2 0), 2θ = 38.01°, intensity 100; (4 2 2), 2θ = 68.67°, intensity 34; (1 1 1), 2θ = 23.01°, intensity 29; (4 0 0), 2θ = 54.84°, intensity 17; (3 1 1), 2θ = 44.90°, intensity 15; (4 4 0), 2θ = 81.28°, intensity 11; (3 3 1), 2θ = 60.24°, intensity 6; (5 3 1), 2θ = 85.86°, intensity 5



No. 8
Structure and simulated powder diffraction line list of Y2MgPd2 (DFT lattice parameters and positions (PBE); Cu Kα, 1.54184 Å).
Lines closer than 0.1° are merged.

Structural model:
```
data_Y2MgPd2
_chemical_formula_sum 'Y4 Mg2 Pd4'
_cell_length_a 7.6115
_cell_length_b 7.6115
_cell_length_c 3.8963
_cell_angle_alpha 90.00
_cell_angle_beta 90.00
_cell_angle_gamma 90.00
_symmetry_space_group_name_H-M 'P 4/m b m'
_symmetry_Int_Tables_number 127
_symmetry_space_group_name_Hall '-P 4 2ab'
loop_
_atom_site_label
_atom_site_type_symbol
_atom_site_fract_x
_atom_site_fract_y
_atom_site_fract_z
_atom_site_occupancy
Y1 Y 0.1703 0.3297 0.0000 1
Mg1 Mg 0.0000 0.0000 0.5000 1
Pd1 Pd 0.1309 0.6309 0.5000 1
```

Largest 8 diffraction maxima, by intensity, 2θ = 10–90°:
(2 1 1), 2θ = 35.00°, intensity 100; (1 1 0), 2θ = 16.47°, intensity 26; (3 1 0), 2θ = 37.36°, intensity 25; (5 2 1), 2θ = 70.93°, intensity 13; (3 1 2), 2θ = 61.21°, intensity 12; (0 0 2), 2θ = 46.62°, intensity 12; (2 1 3), 2θ = 78.89°, intensity 9; (4 1 1), 2θ = 55.05°, intensity 9